Diffraction record for LiCrPO4. The X-ray diffraction stick pattern is simulated, not measured: it uses DFT lattice parameters and positions (GGA+U) and Cu Kα (weighted mean of Kα1 and Kα2).
Intensities are scaled so that the largest is 100.

Structural model:
Cell lengths 5.9248, 7.4167, 14.1803 Å; angles 90.00, 90.00, 90.00 degrees
Space group Pbca (No. 61)
One atom of each set of equivalent atoms:
Li: 0.2015 0.1849 0.2211 x8
Cr: 0.1168 0.6599 0.5480 x8
P: 0.1072 0.5428 0.8732 x8
O: 0.0172 0.6415 0.1329 x8
O: 0.0605 0.1971 0.5978 x8
O: 0.2064 0.0368 0.9541 x8
O: 0.2129 0.5788 0.7774 x8

Largest 12 diffraction maxima, in order of rising 2θ, 2θ from 5° to 70°:
- 2θ = 12.5°, I 100, (0 0 2)
- 2θ = 24.8°, I 25, (0 2 1)
- 2θ = 27.0°, I 78, (1 1 3)
- 2θ = 30.6°, I 29, (0 2 3)
- 2θ = 31.1°, I 47, (1 2 2)
- 2θ = 32.5°, I 22, (2 1 0)
- 2θ = 33.2°, I 20, (2 1 1)
- 2θ = 34.3°, I 20, (1 2 3)
- 2θ = 35.0°, I 19, (2 1 2)
- 2θ = 40.0°, I 35, (0 2 5)
- 2θ = 52.1°, I 16, (1 4 1)
- 2θ = 58.5°, I 22, (2 3 5)

Diffraction record for LiCr2P2O8. The X-ray diffraction stick pattern is simulated, not measured: it uses DFT lattice parameters and positions (GGA+U) and Cu Kα (weighted mean of Kα1 and Kα2).
Intensities are scaled so that the largest is 100.

Structural model:
Cell lengths 6.4091, 9.5058, 9.5065 Å; angles 119.93, 90.06, 90.01 degrees
Space group P1 (No. 1)
One atom of each set of equivalent atoms:
Li: 0.0000 0.0000 0.0000 x1
Li: 0.0060 0.6656 0.3300 x1
Li: 0.5169 0.3370 0.6691 x1
Cr: 0.4093 0.9393 0.7574 x1
Cr: 0.4097 0.2428 0.1802 x1
Cr: 0.4100 0.8221 0.0624 x1
Cr: 0.9073 0.5303 0.6121 x1
Cr: 0.9083 0.0920 0.4810 x1
Cr: 0.9078 0.3855 0.9217 x1
P: 0.4025 0.6213 0.6470 x1
P: 0.4031 0.0282 0.3803 x1
P: 0.4025 0.3529 0.9726 x1
P: 0.9082 0.3049 0.2826 x1
P: 0.9079 0.7178 0.0209 x1
P: 0.9076 0.9771 0.6908 x1
O: 0.0960 0.9498 0.7769 x1
O: 0.0966 0.2218 0.1682 x1
O: 0.0969 0.8330 0.0526 x1
O: 0.2126 0.3846 0.8956 x1
O: 0.2128 0.5121 0.6143 x1
O: 0.2139 0.1052 0.4900 x1
O: 0.3989 0.4401 0.1603 x1
O: 0.3987 0.7223 0.5601 x1
O: 0.3990 0.8407 0.2797 x1
O: 0.4098 0.0683 0.2356 x1
O: 0.4097 0.1681 0.9326 x1
O: 0.4101 0.7650 0.8320 x1
O: 0.5939 0.1047 0.4933 x1
O: 0.5937 0.5089 0.6097 x1
O: 0.5946 0.3887 0.8973 x1
O: 0.7166 0.2410 0.1713 x1
O: 0.7170 0.8307 0.0698 x1
O: 0.7166 0.9333 0.7577 x1
O: 0.8972 0.5817 0.8389 x1
O: 0.8984 0.1588 0.7279 x1
O: 0.8989 0.2595 0.4203 x1
O: 0.9248 0.8864 0.5024 x1
O: 0.9255 0.4929 0.3800 x1
O: 0.9260 0.6215 0.1131 x1

Largest 12 diffraction maxima, in order of rising 2θ, 2θ from 5° to 70°:
- 2θ = 10.7°, I 19, (0 1 0)
- 2θ = 17.5°, I 33, (1 0 1)
- 2θ = 18.7°, I 36, (0 2 -1)
- 2θ = 23.3°, I 18, (-1 1 1)
- 2θ = 25.7°, I 15, (1 2 -2)
- 2θ = 27.8°, I 44, (2 0 0)
- 2θ = 28.7°, I 100, (0 2 1)
- 2θ = 33.7°, I 11, (-2 1 1)
- 2θ = 40.4°, I 11, (2 2 1)
- 2θ = 42.0°, I 13, (1 3 1)
- 2θ = 43.8°, I 13, (3 0 1)
- 2θ = 50.8°, I 30, (0 5 -1)

Diffraction record for LiCr4P3O12. The X-ray diffraction stick pattern is simulated, not measured: it uses DFT lattice parameters and positions (GGA+U) and Cu Kα (weighted mean of Kα1 and Kα2).
Intensities are scaled so that the largest is 100.

Structural model:
Cell lengths 7.5697, 8.1214, 9.7940 Å; angles 109.77, 110.43, 93.47 degrees
Space group P-1 (No. 2)
One atom of each set of equivalent atoms:
Li: 0.0908 0.3809 0.0673 x2
Cr: 0.2286 0.9744 0.5818 x2
Cr: 0.2342 0.9302 0.2179 x2
Cr: 0.2416 0.5988 0.5951 x2
Cr: 0.4876 0.7043 0.0283 x2
P: 0.1034 0.3633 0.7620 x2
P: 0.1781 0.9402 0.8847 x2
P: 0.4826 0.2503 0.5656 x2
O: 0.0336 0.6252 0.1508 x2
O: 0.0386 0.0797 0.1599 x2
O: 0.0577 0.4779 0.6600 x2
O: 0.0820 0.1665 0.6556 x2
O: 0.2226 0.8533 0.7339 x2
O: 0.2507 0.8286 0.9919 x2
O: 0.2920 0.1348 0.9750 x2
O: 0.3080 0.0903 0.4499 x2
O: 0.3150 0.4420 0.8939 x2
O: 0.3641 0.7615 0.5098 x2
O: 0.4240 0.4291 0.5934 x2
O: 0.4412 0.7839 0.2778 x2

Largest 12 diffraction maxima, in order of rising 2θ, 2θ from 5° to 70°:
- 2θ = 11.8°, I 62, (0 1 0)
- 2θ = 12.4°, I 44, (0 1 -1)
- 2θ = 12.9°, I 53, (1 0 -1)
- 2θ = 18.5°, I 66, (0 1 1)
- 2θ = 19.1°, I 45, (1 1 0)
- 2θ = 28.7°, I 100, (1 0 2)
- 2θ = 29.1°, I 89, (1 0 -3)
- 2θ = 29.3°, I 56, (1 2 0)
- 2θ = 30.5°, I 42, (2 1 0)
- 2θ = 31.0°, I 60, (1 2 -3)
- 2θ = 31.4°, I 92, (2 -2 0)
- 2θ = 31.6°, I 50, (2 1 -3)